# Mg6GaSn
Simulated powder diffraction line list, Cu Kα (λ = 1.5418 Å). Input: a crystal structure in the Materials Project, relaxed with PBE.

```
data_Mg6GaSn
_chemical_formula_sum 'Mg12 Ga2 Sn2'
_space_group_name_H-M_alt 'A m m 2'
_space_group_IT_number 38
_cell_length_a 5.1890
_cell_length_b 6.3831
_cell_length_c 10.7595
_cell_angle_alpha 90.00
_cell_angle_beta 90.00
_cell_angle_gamma 90.00
loop_
_space_group_symop_operation_xyz
'x,y,z'
'-x,-y,z'
'-x,y,z'
'x,-y,z'
'x,y+1/2,z+1/2'
'-x,-y+1/2,z+1/2'
'-x,y+1/2,z+1/2'
'x,-y+1/2,z+1/2'
loop_
_atom_site_label
_atom_site_fract_x
_atom_site_fract_y
_atom_site_fract_z
Mg1 0.0000 0.0000 0.0000
Mg2 0.0000 0.0000 0.4981
Mg3 0.0000 0.2464 0.2484
Mg4 0.5000 0.2501 0.4156
Ga1 0.5000 0.0000 0.1650
Sn1 0.5000 0.0000 0.6654
```

Largest 10 diffraction maxima, sorted by position, 10° ≤ 2θ ≤ 90°:
| 2θ (°) | I/Imax | hkl |
| --- | --- | --- |
| 16.48 | 38 | 0 0 2 |
| 17.09 | 35 | 1 0 0 |
| 23.82 | 32 | 1 0 2 |
| 32.62 | 34 | 0 2 2 |
| 34.57 | 38 | 2 0 0 |
| 37.05 | 100 | 1 2 2 |
| 37.67 | 48 | 1 0 4 |
| 48.27 | 22 | 2 2 2 |
| 63.58 | 20 | 3 2 2 |
| 70.30 | 19 | 2 2 6 |

***

# Cs3Nb2I9
Simulated powder diffraction line list, Cu Kα (λ = 1.5418 Å). Input: a crystal structure in the Materials Project, relaxed with PBE.

```
data_Cs3Nb2I9
_chemical_formula_sum 'Cs6 Nb4 I18'
_space_group_name_H-M_alt 'P 63/m m c'
_space_group_IT_number 194
_space_group_name_Hall '-P 6c 2c'
_cell_length_a 8.6042
_cell_length_b 8.6042
_cell_length_c 19.9371
_cell_angle_alpha 90.00
_cell_angle_beta 90.00
_cell_angle_gamma 120.00
loop_
_atom_site_label
_atom_site_fract_x
_atom_site_fract_y
_atom_site_fract_z
Cs1 0.0000 0.0000 0.2500
Cs2 0.3333 0.6667 0.0688
Nb1 0.3333 0.6667 0.6794
I1 0.0034 0.5017 0.2500
I2 0.1769 0.3538 0.5950
```

Largest 10 diffraction maxima, sorted by position, 10° ≤ 2θ ≤ 90°:
| 2θ (°) | I/Imax | hkl |
| --- | --- | --- |
| 12.68 | 29 | 1 0 1 |
| 25.52 | 68 | 2 0 2 |
| 26.83 | 34 | 0 0 6 |
| 27.44 | 100 | 2 0 3 |
| 29.94 | 67 | 2 0 4 |
| 39.84 | 22 | 2 0 7 |
| 42.01 | 58 | 2 2 0 |
| 43.70 | 17 | 2 0 8 |
| 50.54 | 35 | 2 2 6 |
| 50.91 | 16 | 4 0 3 |

***

# FeMo6Se8
Simulated powder diffraction line list, Cu Kα (λ = 1.5418 Å). Input: a crystal structure in the Materials Project, relaxed with PBE.

```
data_FeMo6Se8
_chemical_formula_sum 'Fe1 Mo6 Se8'
_space_group_name_H-M_alt 'P 1'
_space_group_IT_number 1
_cell_length_a 6.8431
_cell_length_b 6.8655
_cell_length_c 6.8702
_cell_angle_alpha 93.49
_cell_angle_beta 90.49
_cell_angle_gamma 93.87
loop_
_space_group_symop_operation_xyz
'x,y,z'
loop_
_atom_site_label
_atom_site_fract_x
_atom_site_fract_y
_atom_site_fract_z
Fe1 0.0000 0.0000 0.0000
Mo1 0.0565 0.3676 0.4636
Mo2 0.0839 0.5915 0.8172
Mo3 0.2665 0.7120 0.4930
Mo4 0.7411 0.5456 0.5916
Mo5 0.9268 0.6723 0.2795
Mo6 0.9509 0.8951 0.6296
Se1 0.1469 0.0081 0.3253
Se2 0.2428 0.5017 0.1679
Se3 0.2930 0.9213 0.8246
Se4 0.3721 0.4053 0.6704
Se5 0.6376 0.8563 0.4223
Se6 0.7349 0.3391 0.2663
Se7 0.7489 0.7398 0.9311
Se8 0.8762 0.2568 0.7813
```

Largest 10 diffraction maxima, sorted by position, 10° ≤ 2θ ≤ 90°:
| 2θ (°) | I/Imax | hkl |
| --- | --- | --- |
| 12.95 | 100 | 1 0 0 |
| 32.17 | 10 | -1 1 2 |
| 37.83 | 12 | 2 -2 1 |
| 39.22 | 13 | -2 1 2 |
| 40.90 | 16 | 2 1 2 |
| 42.93 | 21 | 1 -1 3 |
| 43.78 | 13 | -1 3 1 |
| 44.41 | 15 | 3 1 -1 |
| 48.04 | 12 | 3 -2 1 |
| 48.23 | 13 | 2 2 2 |

***

# DyIn2Ni9
Simulated powder diffraction line list, Cu Kα (λ = 1.5418 Å). Input: a crystal structure in the Materials Project, relaxed with PBE.

```
data_DyIn2Ni9
_chemical_formula_sum 'Dy2 In4 Ni18'
_space_group_name_H-M_alt 'P 4/m b m'
_space_group_IT_number 127
_space_group_name_Hall '-P 4 2ab'
_cell_length_a 8.2342
_cell_length_b 8.2342
_cell_length_c 4.8128
_cell_angle_alpha 90.00
_cell_angle_beta 90.00
_cell_angle_gamma 90.00
loop_
_atom_site_label
_atom_site_fract_x
_atom_site_fract_y
_atom_site_fract_z
Dy1 0.0000 0.0000 0.0000
In1 0.1259 0.3741 0.0000
Ni1 0.0000 0.5000 0.5000
Ni2 0.0644 0.2054 0.5000
Ni3 0.1766 0.6766 0.2479
```

Largest 10 diffraction maxima, sorted by position, 10° ≤ 2θ ≤ 90°:
| 2θ (°) | I/Imax | hkl |
| --- | --- | --- |
| 34.44 | 25 | 3 1 0 |
| 36.06 | 22 | 2 2 1 |
| 37.37 | 17 | 0 0 2 |
| 39.34 | 100 | 3 1 1 |
| 43.56 | 27 | 2 0 2 |
| 43.88 | 34 | 3 2 1 |
| 45.00 | 65 | 2 1 2 |
| 45.41 | 28 | 4 1 0 |
| 49.47 | 22 | 4 2 0 |
| 68.73 | 18 | 3 1 3 |

***

# LuMn2
Simulated powder diffraction line list, Cu Kα (λ = 1.5418 Å). Input: a crystal structure in the Materials Project, relaxed with PBE.

```
data_LuMn2
_chemical_formula_sum 'Lu8 Mn16'
_space_group_name_H-M_alt 'C m c m'
_space_group_IT_number 63
_space_group_name_Hall '-C 2c 2'
_cell_length_a 4.9947
_cell_length_b 8.6305
_cell_length_c 8.4416
_cell_angle_alpha 90.00
_cell_angle_beta 90.00
_cell_angle_gamma 90.00
loop_
_atom_site_label
_atom_site_fract_x
_atom_site_fract_y
_atom_site_fract_z
Lu1 0.0000 0.1666 0.0641
Mn1 0.0000 0.3293 0.7500
Mn2 0.0000 0.5000 0.0000
Mn3 0.2444 0.0864 0.7500
```

Largest 10 diffraction maxima, sorted by position, 10° ≤ 2θ ≤ 90°:
| 2θ (°) | I/Imax | hkl |
| --- | --- | --- |
| 20.56 | 18 | 0 2 0 |
| 23.13 | 14 | 1 1 1 |
| 29.59 | 13 | 1 1 2 |
| 36.01 | 64 | 2 0 0 |
| 38.17 | 100 | 0 2 3 |
| 41.82 | 14 | 0 4 0 |
| 42.08 | 85 | 2 0 2 |
| 43.23 | 43 | 2 2 1 |
| 66.14 | 25 | 3 1 3 |
| 70.84 | 24 | 2 2 5 |

***

# Y2Ru2O7
Simulated powder diffraction line list, Cu Kα (λ = 1.5418 Å). Input: a crystal structure in the Materials Project, relaxed with PBE.

Cell: 10.2621 10.2621 10.2621 Å, 90.00 90.00 90.00°
Space group Fd-3m (No. 227, origin choice 2)
Unique sites:
Y  0.0000  0.0000  0.0000 [16 per cell]
Ru  0.0000  0.0000  0.5000 [16 per cell]
O  0.0869  0.3750  0.8750 [48 per cell]
O  0.1250  0.1250  0.1250 [8 per cell]

Largest 10 diffraction maxima, sorted by position, 10° ≤ 2θ ≤ 90°:
| 2θ (°) | I/Imax | hkl |
| --- | --- | --- |
| 14.95 | 1 | 1 1 1 |
| 28.86 | 2 | 3 1 1 |
| 30.17 | 100 | 2 2 2 |
| 34.97 | 27 | 4 0 0 |
| 50.30 | 50 | 4 4 0 |
| 59.78 | 41 | 6 2 2 |
| 62.73 | 8 | 4 4 4 |
| 73.88 | 7 | 8 0 0 |
| 81.83 | 16 | 6 6 2 |
| 84.43 | 12 | 8 4 0 |

***

# ZnSn2O5
Simulated powder diffraction line list, Cu Kα (λ = 1.5418 Å). Input: a crystal structure in the Materials Project, relaxed with PBE.

```
data_ZnSn2O5
_chemical_formula_sum 'Zn2 Sn4 O10'
_space_group_name_H-M_alt 'P 1'
_space_group_IT_number 1
_cell_length_a 3.5570
_cell_length_b 5.1791
_cell_length_c 12.9550
_cell_angle_alpha 92.88
_cell_angle_beta 94.02
_cell_angle_gamma 95.52
loop_
_space_group_symop_operation_xyz
'x,y,z'
loop_
_atom_site_label
_atom_site_fract_x
_atom_site_fract_y
_atom_site_fract_z
Zn1 0.0000 0.0000 0.0000
Zn2 0.2055 0.9437 0.5114
Sn1 0.3184 0.5471 0.1548
Sn2 0.3871 0.5251 0.8701
Sn3 0.8081 0.4180 0.6475
Sn4 0.8505 0.3943 0.3633
O1 0.2212 0.9000 0.1291
O2 0.2429 0.3709 0.0059
O3 0.3446 0.5720 0.7016
O4 0.3662 0.5595 0.3263
O5 0.5161 0.8922 0.9181
O6 0.6475 0.0530 0.6047
O7 0.8009 0.3788 0.1927
O8 0.8501 0.3721 0.8175
O9 0.8933 0.0362 0.3954
O10 0.9528 0.5726 0.5117
```

Largest 10 diffraction maxima, sorted by position, 10° ≤ 2θ ≤ 90°:
| 2θ (°) | I/Imax | hkl |
| --- | --- | --- |
| 17.23 | 100 | 0 1 0 |
| 21.46 | 31 | 0 1 -2 |
| 22.71 | 43 | 0 1 2 |
| 26.68 | 36 | 1 0 1 |
| 27.66 | 31 | 0 0 4 |
| 30.25 | 46 | 1 -1 1 |
| 31.55 | 58 | 1 0 -3 |
| 31.89 | 52 | 0 1 -4 |
| 33.60 | 50 | 0 1 4 |
| 34.86 | 49 | 0 2 0 |

***

Question: Which formula does entry 7 have?
Answer: ZnSn2O5

***

What did the fourth record say?
# DyIn2Ni9
Simulated powder diffraction line list, Cu Kα (λ = 1.5418 Å). Input: a crystal structure in the Materials Project, relaxed with PBE.

```
data_DyIn2Ni9
_chemical_formula_sum 'Dy2 In4 Ni18'
_space_group_name_H-M_alt 'P 4/m b m'
_space_group_IT_number 127
_space_group_name_Hall '-P 4 2ab'
_cell_length_a 8.2342
_cell_length_b 8.2342
_cell_length_c 4.8128
_cell_angle_alpha 90.00
_cell_angle_beta 90.00
_cell_angle_gamma 90.00
loop_
_atom_site_label
_atom_site_fract_x
_atom_site_fract_y
_atom_site_fract_z
Dy1 0.0000 0.0000 0.0000
In1 0.1259 0.3741 0.0000
Ni1 0.0000 0.5000 0.5000
Ni2 0.0644 0.2054 0.5000
Ni3 0.1766 0.6766 0.2479
```

Largest 10 diffraction maxima, sorted by position, 10° ≤ 2θ ≤ 90°:
| 2θ (°) | I/Imax | hkl |
| --- | --- | --- |
| 34.44 | 25 | 3 1 0 |
| 36.06 | 22 | 2 2 1 |
| 37.37 | 17 | 0 0 2 |
| 39.34 | 100 | 3 1 1 |
| 43.56 | 27 | 2 0 2 |
| 43.88 | 34 | 3 2 1 |
| 45.00 | 65 | 2 1 2 |
| 45.41 | 28 | 4 1 0 |
| 49.47 | 22 | 4 2 0 |
| 68.73 | 18 | 3 1 3 |